No. 1
Ni4P2O9: theoretical powder diffractogram (CuKα), based on the GGA+U geometry in Alexandria.
Intensities are scaled so that the largest is 100.

```
data_Ni4P2O9
_chemical_formula_sum 'Ni16 P8 O36'
_cell_length_a 6.5066
_cell_length_b 11.1393
_cell_length_c 9.2632
_cell_angle_alpha 90.00
_cell_angle_beta 106.14
_cell_angle_gamma 90.00
_symmetry_space_group_name_H-M 'P 1 21/c 1'
_symmetry_Int_Tables_number 14
loop_
_symmetry_equiv_pos_as_xyz
'x,y,z'
'-x,-y,-z'
'-x,y+1/2,-z+1/2'
'x,-y+1/2,z+1/2'
loop_
_atom_site_label
_atom_site_fract_x
_atom_site_fract_y
_atom_site_fract_z
Ni1 0.0487 0.1316 0.3185
Ni2 0.2703 0.1216 0.7515
Ni3 0.3171 0.6002 0.4612
Ni4 0.4326 0.5939 0.1142
P1 0.2084 0.1711 0.0777
P2 0.2553 0.6324 0.8136
O1 0.0068 0.1036 0.0859
O2 0.0295 0.6764 0.7315
O3 0.1721 0.1964 0.5261
O4 0.2418 0.5583 0.2337
O5 0.2580 0.5111 0.9024
O6 0.3369 0.1890 0.2485
O7 0.3393 0.0951 0.9909
O8 0.3622 0.7188 0.9459
O9 0.3924 0.6134 0.7025
```

Main lines, low angle first (10 to 80 degrees two-theta):
2θ 21.05, 4.220 Å, I = 25, hkl 1 0 -2; 2θ 29.69, 3.009 Å, I = 25, hkl 2 1 0; 2θ 31.11, 2.875 Å, I = 56, hkl 2 1 -2; 2θ 31.21, 2.866 Å, I = 39, hkl 0 1 3; 2θ 31.93, 2.803 Å, I = 41, hkl 2 2 -1; 2θ 32.13, 2.785 Å, I = 100, hkl 0 4 0; 2θ 34.25, 2.618 Å, I = 52, hkl 0 2 3; 2θ 49.90, 1.827 Å, I = 26, hkl 1 1 -5

No. 2
Ni7P6O24: theoretical powder diffractogram (CuKα), based on the GGA+U geometry in Alexandria.
Intensities are scaled so that the largest is 100.

```
data_Ni7P6O24
_chemical_formula_sum 'Ni7 P6 O24'
_cell_length_a 6.3683
_cell_length_b 7.9556
_cell_length_c 9.3170
_cell_angle_alpha 105.04
_cell_angle_beta 108.57
_cell_angle_gamma 100.88
_symmetry_space_group_name_H-M 'P -1'
_symmetry_Int_Tables_number 2
loop_
_symmetry_equiv_pos_as_xyz
'x,y,z'
'-x,-y,-z'
loop_
_atom_site_label
_atom_site_fract_x
_atom_site_fract_y
_atom_site_fract_z
Ni1 0.0000 0.0000 0.0000
Ni2 0.0456 0.7138 0.5166
Ni3 0.2656 0.8023 0.2750
Ni4 0.3894 0.4565 0.1127
P1 0.0914 0.5938 0.8353
P2 0.2304 0.1382 0.7739
P3 0.4054 0.2343 0.3761
O1 0.0167 0.1821 0.6682
O2 0.0660 0.5528 0.6569
O3 0.1174 0.7891 0.9265
O4 0.1281 0.5332 0.1642
O5 0.2098 0.9358 0.7115
O6 0.2320 0.1846 0.9480
O7 0.2637 0.2942 0.4753
O8 0.2698 0.0446 0.2413
O9 0.3067 0.5358 0.9168
O10 0.3704 0.7765 0.4996
O11 0.4559 0.2515 0.7710
O12 0.4716 0.3720 0.2989
```

Main lines, low angle first (10 to 80 degrees two-theta):
2θ 18.67, 4.754 Å, I = 20, hkl -1 1 1; 2θ 20.66, 4.299 Å, I = 24, hkl 1 -1 1; 2θ 28.58, 3.123 Å, I = 37, hkl 2 0 -1; 2θ 29.80, 2.998 Å, I = 100, hkl 0 2 1; 2θ 30.38, 2.942 Å, I = 52, hkl 0 1 -3; 2θ 33.25, 2.695 Å, I = 26, hkl 2 1 -2; 2θ 34.36, 2.610 Å, I = 22, hkl 1 2 -3; 2θ 43.51, 2.080 Å, I = 18, hkl -3 1 2

No. 3
Ni2P3O10: theoretical powder diffractogram (CuKα), based on the GGA+U geometry in Alexandria.
Intensities are scaled so that the largest is 100.

```
data_Ni2P3O10
_chemical_formula_sum 'Ni4 P6 O20'
_cell_length_a 4.6826
_cell_length_b 8.4080
_cell_length_c 8.9995
_cell_angle_alpha 90.00
_cell_angle_beta 98.14
_cell_angle_gamma 90.00
_symmetry_space_group_name_H-M 'P 1 21/m 1'
_symmetry_Int_Tables_number 11
loop_
_symmetry_equiv_pos_as_xyz
'x,y,z'
'-x,-y,-z'
'-x,y+1/2,-z'
'x,-y+1/2,z'
loop_
_atom_site_label
_atom_site_fract_x
_atom_site_fract_y
_atom_site_fract_z
Ni1 0.0492 0.0681 0.3369
P1 0.3459 0.2500 0.8141
P2 0.3906 0.7500 0.4646
P3 0.4914 0.2500 0.1463
O1 0.1777 0.0975 0.7927
O2 0.2014 0.7500 0.7685
O3 0.2272 0.5967 0.4923
O4 0.2987 0.2500 0.4532
O5 0.3169 0.1012 0.1742
O6 0.3998 0.7500 0.2867
O7 0.4567 0.7500 0.0266
```

Main lines, low angle first (10 to 80 degrees two-theta):
2θ 22.85, 3.893 Å, I = 24, hkl 1 0 1; 2θ 25.21, 3.533 Å, I = 26, hkl 1 1 1; 2θ 25.70, 3.466 Å, I = 38, hkl 1 0 -2; 2θ 28.67, 3.114 Å, I = 100, hkl 1 2 0; 2θ 31.61, 2.831 Å, I = 40, hkl 1 1 2; 2θ 33.47, 2.677 Å, I = 73, hkl 1 0 -3; 2θ 37.06, 2.426 Å, I = 23, hkl 0 2 3; 2θ 44.17, 2.051 Å, I = 31, hkl 1 3 2

No. 4
NiP3O9: theoretical powder diffractogram (CuKα), based on the GGA+U geometry in Alexandria.
Intensities are scaled so that the largest is 100.

```
data_NiP3O9
_chemical_formula_sum 'Ni2 P6 O18'
_cell_length_a 6.6053
_cell_length_b 6.9359
_cell_length_c 7.5070
_cell_angle_alpha 102.90
_cell_angle_beta 93.45
_cell_angle_gamma 96.58
_symmetry_space_group_name_H-M 'P -1'
_symmetry_Int_Tables_number 2
loop_
_symmetry_equiv_pos_as_xyz
'x,y,z'
'-x,-y,-z'
loop_
_atom_site_label
_atom_site_fract_x
_atom_site_fract_y
_atom_site_fract_z
Ni1 0.1528 0.0922 0.3621
P1 0.1547 0.2205 0.9560
P2 0.3242 0.4816 0.7263
P3 0.3345 0.9073 0.7053
O1 0.0484 0.8494 0.1524
O2 0.1580 0.2638 0.1624
O3 0.1591 0.9204 0.5696
O4 0.1975 0.3510 0.5615
O5 0.2580 0.4256 0.9122
O6 0.2745 0.7043 0.7737
O7 0.3207 0.0697 0.8940
O8 0.4507 0.5322 0.2993
O9 0.4529 0.0758 0.3441
```

Main lines, low angle first (10 to 80 degrees two-theta):
2θ 13.21, 6.702 Å, I = 57, hkl 0 1 0; 2θ 17.66, 5.021 Å, I = 84, hkl 1 -1 0; 2θ 19.97, 4.446 Å, I = 37, hkl 0 1 1; 2θ 27.29, 3.268 Å, I = 25, hkl 2 0 0; 2θ 28.29, 3.154 Å, I = 41, hkl 1 1 -2; 2θ 29.09, 3.070 Å, I = 23, hkl 1 0 2; 2θ 31.00, 2.885 Å, I = 31, hkl 2 0 1; 2θ 31.83, 2.811 Å, I = 100, hkl 0 2 -2

No. 5
NiP3O9: theoretical powder diffractogram (CuKα), based on the GGA+U geometry in Alexandria.
Intensities are scaled so that the largest is 100.

```
data_NiP3O9
_chemical_formula_sum 'Ni4 P12 O36'
_cell_length_a 6.3548
_cell_length_b 10.8340
_cell_length_c 9.7700
_cell_angle_alpha 90.00
_cell_angle_beta 90.00
_cell_angle_gamma 90.00
_symmetry_space_group_name_H-M 'P c c n'
_symmetry_Int_Tables_number 56
loop_
_symmetry_equiv_pos_as_xyz
'x,y,z'
'-x,-y,-z'
'-x+1/2,-y+1/2,z'
'x+1/2,y+1/2,-z'
'x+1/2,-y,-z+1/2'
'-x+1/2,y,z+1/2'
'-x,y+1/2,-z+1/2'
'x,-y+1/2,z+1/2'
loop_
_atom_site_label
_atom_site_fract_x
_atom_site_fract_y
_atom_site_fract_z
Ni1 0.0000 0.0000 0.0000
P1 0.1380 0.1333 0.2901
P2 0.2500 0.7500 0.0760
O1 0.0909 0.6907 0.1821
O2 0.1122 0.0320 0.1859
O3 0.1545 0.6515 0.4879
O4 0.2453 0.0983 0.4207
O5 0.2500 0.2500 0.2169
```

Main lines, low angle first (10 to 80 degrees two-theta):
2θ 18.56, 4.780 Å, I = 100, hkl 1 1 1; 2θ 19.94, 4.453 Å, I = 44, hkl 0 1 2; 2θ 23.42, 3.798 Å, I = 50, hkl 1 2 1; 2θ 24.41, 3.647 Å, I = 45, hkl 1 1 2; 2θ 28.40, 3.142 Å, I = 31, hkl 1 3 0; 2θ 29.89, 2.989 Å, I = 30, hkl 1 3 1; 2θ 31.97, 2.800 Å, I = 29, hkl 1 1 3; 2θ 32.67, 2.741 Å, I = 22, hkl 2 2 0

No. 6
Ni4P2O9: theoretical powder diffractogram (CuKα), based on the GGA+U geometry in Alexandria.
Intensities are scaled so that the largest is 100.

```
data_Ni4P2O9
_chemical_formula_sum 'Ni8 P4 O18'
_cell_length_a 6.0560
_cell_length_b 7.6503
_cell_length_c 8.3714
_cell_angle_alpha 99.50
_cell_angle_beta 110.23
_cell_angle_gamma 104.91
_symmetry_space_group_name_H-M 'P -1'
_symmetry_Int_Tables_number 2
loop_
_symmetry_equiv_pos_as_xyz
'x,y,z'
'-x,-y,-z'
loop_
_atom_site_label
_atom_site_fract_x
_atom_site_fract_y
_atom_site_fract_z
Ni1 0.0514 0.3473 0.2158
Ni2 0.1474 0.8905 0.5836
Ni3 0.4224 0.6434 0.7750
Ni4 0.4265 0.8798 0.0991
P1 0.1070 0.2702 0.8415
P2 0.4704 0.2857 0.5636
O1 0.0030 0.8944 0.3283
O2 0.0575 0.7569 0.0500
O3 0.1280 0.4615 0.7952
O4 0.2040 0.2830 0.4480
O5 0.2915 0.8536 0.8321
O6 0.3700 0.2734 0.9606
O7 0.3712 0.7185 0.5473
O8 0.3966 0.5298 0.2782
O9 0.4546 0.1171 0.6439
```

Main lines, low angle first (10 to 80 degrees two-theta):
2θ 15.95, 5.557 Å, I = 88, hkl 1 0 -1; 2θ 18.78, 4.725 Å, I = 96, hkl -1 1 1; 2θ 24.55, 3.626 Å, I = 96, hkl 0 2 -1; 2θ 29.34, 3.044 Å, I = 87, hkl 0 2 -2; 2θ 29.79, 2.999 Å, I = 100, hkl 0 1 2; 2θ 45.09, 2.011 Å, I = 89, hkl 2 2 -1; 2θ 46.23, 1.964 Å, I = 98, hkl 0 1 -4; 2θ 66.57, 1.405 Å, I = 90, hkl 2 1 3